Diffraction record for Zr3Tl2Cu2Se8. The powder diffraction line list is theoretical, not measured: it uses a crystal structure in OQMD, relaxed with GGA-PBE and Cu Kα (λ = 1.5418 Å).

Structural model:
Cell: 14.9365 3.8448 14.5321 Å, 90.00 114.14 90.00°
Space group C2/m (No. 12)
Unique sites:
1 Zr 0.0000 0.0000 0.0000 x2
2 Zr 0.1575 0.0000 0.3796 x4
3 Tl 0.1635 0.0000 0.7982 x4
4 Cu 0.0449 0.5000 0.1970 x4
5 Se 0.0205 0.5000 0.3524 x4
6 Se 0.1061 0.5000 0.9557 x4
7 Se 0.1464 0.0000 0.1894 x4
8 Se 0.2012 0.0000 0.5810 x4

The 12 most intense peaks (10 to 90 degrees two-theta), low angle first:
hkl, 2theta, d_spacing, Rel. int.
0 0 2, 13.4, 6.631, 28
2 0 -3, 18.9, 4.685, 23
3 1 -2, 29.9, 2.992, 44
3 1 0, 30.5, 2.935, 100
3 1 -3, 31.8, 2.811, 45
0 0 5, 33.8, 2.652, 53
1 1 -4, 34.3, 2.618, 22
3 1 2, 36.6, 2.455, 28
5 1 -5, 43.5, 2.080, 23
0 2 0, 47.3, 1.922, 44
3 1 5, 52.2, 1.751, 26
0 2 5, 59.4, 1.557, 20